The following is a simulated X-ray powder pattern of La4Rh. It was derived from a crystal structure in the Materials Project, relaxed with GGA-PBE, using CuKα.
No peak broadening, texture or thermal motion is included.

Atomic structure:
Unit cell a=11.3376 b=11.3376 c=11.3376 alpha=90.00 beta=90.00 gamma=90.00
Space group Fd-3m (No. 227, origin choice 2)
Symmetry-distinct sites (fractional):
La1 0.0117 0.0117 0.2383 x32
Rh1 0.1250 0.1250 0.6250 x8

Top 12 peaks for 2θ from 15° to 90°, in order of falling intensity:
2theta, d (Å), I (rel.)
27.2, 3.273, 100
45.2, 2.004, 49
53.6, 1.709, 38
31.6, 2.834, 32
34.5, 2.601, 17
41.4, 2.182, 17
72.7, 1.301, 13
22.2, 4.008, 13
83.6, 1.157, 12
89.4, 1.096, 10
89.9, 1.091, 8
67.6, 1.385, 8

The following is a simulated X-ray powder pattern of La5Rh4. It was derived from a crystal structure in the Materials Project, relaxed with GGA-PBE, using CuKα.
No peak broadening, texture or thermal motion is included.

Atomic structure:
Unit cell a=7.6464 b=15.4270 c=7.7243 alpha=90.00 beta=90.00 gamma=90.00
Space group Pnma (No. 62)
Symmetry-distinct sites (fractional):
La1 0.0039 0.0905 0.1820 x8
La2 0.1606 0.1220 0.6646 x8
La3 0.1856 0.7500 0.5244 x4
Rh1 0.0302 0.7500 0.1103 x4
Rh2 0.1875 0.5412 0.4708 x8
Rh3 0.1989 0.2500 0.3614 x4

Top 12 peaks for 2θ from 15° to 90°, in order of falling intensity:
2theta, d (Å), I (rel.)
31.2, 2.864, 100
31.4, 2.851, 94
37.1, 2.420, 61
34.9, 2.571, 55
33.4, 2.680, 50
37.3, 2.410, 42
32.8, 2.729, 41
35.0, 2.562, 28
33.0, 2.716, 26
56.1, 1.640, 22
37.5, 2.401, 19
60.3, 1.534, 18

The following is a simulated X-ray powder pattern of LaSi3Rh. It was derived from a crystal structure in the Materials Project, relaxed with GGA-PBE, using CuKα.
No peak broadening, texture or thermal motion is included.

Atomic structure:
Unit cell a=4.2793 b=4.2793 c=9.9142 alpha=90.00 beta=90.00 gamma=90.00
Space group I4mm (No. 107)
Symmetry-distinct sites (fractional):
La1 0.0000 0.0000 0.0000 x2
Si1 0.0000 0.0000 0.4136 x2
Si2 0.0000 0.5000 0.2620 x4
Rh1 0.0000 0.0000 0.6550 x2

Top 12 peaks for 2θ from 15° to 90°, in order of falling intensity:
2theta, d (Å), I (rel.)
34.3, 2.616, 100
29.5, 3.026, 58
34.7, 2.583, 58
42.2, 2.140, 51
55.5, 1.656, 50
22.6, 3.929, 39
50.7, 1.799, 19
64.2, 1.450, 18
61.3, 1.513, 17
68.1, 1.377, 16
17.9, 4.957, 14
87.3, 1.117, 14

The following is a simulated X-ray powder pattern of La3Sn13Rh4. It was derived from a crystal structure in the Materials Project, relaxed with GGA-PBE, using CuKα.
No peak broadening, texture or thermal motion is included.

Atomic structure:
Unit cell a=9.8771 b=9.8771 c=9.8771 alpha=90.00 beta=90.00 gamma=90.00
Space group Pm-3n (No. 223)
Symmetry-distinct sites (fractional):
La1 0.0000 0.2500 0.5000 x6
Sn1 0.0000 0.0000 0.0000 x2
Sn2 0.0000 0.3057 0.1535 x24
Rh1 0.2500 0.2500 0.2500 x8

Top 12 peaks for 2θ from 15° to 90°, in order of falling intensity:
2theta, d (Å), I (rel.)
32.7, 2.739, 100
34.0, 2.640, 37
45.0, 2.016, 22
36.4, 2.469, 22
57.5, 1.602, 17
54.1, 1.694, 14
37.5, 2.396, 14
62.4, 1.489, 13
66.2, 1.411, 11
86.5, 1.126, 10
40.9, 2.209, 10
82.9, 1.164, 8

The following is a simulated X-ray powder pattern of LaSn2Rh. It was derived from a crystal structure in the Materials Project, relaxed with GGA-PBE, using CuKα.
No peak broadening, texture or thermal motion is included.

Atomic structure:
Unit cell a=4.6843 b=17.3000 c=9.7722 alpha=90.00 beta=90.00 gamma=90.00
Space group Cmcm (No. 63)
Symmetry-distinct sites (fractional):
La1 0.0000 0.0000 0.0000 x4
La2 0.0000 0.2040 0.2500 x4
Sn1 0.0000 0.1980 0.5897 x8
Sn2 0.0000 0.4085 0.2500 x4
Sn3 0.0000 0.4265 0.7500 x4
Rh1 0.0000 0.3535 0.5046 x8

Top 12 peaks for 2θ from 15° to 90°, in order of falling intensity:
2theta, d (Å), I (rel.)
32.2, 2.783, 100
38.4, 2.342, 54
30.6, 2.917, 53
33.9, 2.643, 48
36.2, 2.483, 39
26.9, 3.319, 26
53.8, 1.704, 25
62.5, 1.486, 22
36.8, 2.443, 21
41.8, 2.159, 20
44.7, 2.028, 18
34.5, 2.602, 16

The following is a simulated X-ray powder pattern of LaSnRh. It was derived from a crystal structure in the Materials Project, relaxed with GGA-PBE, using CuKα.
No peak broadening, texture or thermal motion is included.

Atomic structure:
Unit cell a=7.5479 b=7.5479 c=4.2636 alpha=90.00 beta=90.00 gamma=120.00
Space group P-62m (No. 189)
Symmetry-distinct sites (fractional):
La1 0.0000 0.5843 0.0000 x3
Sn1 0.0000 0.2459 0.5000 x3
Rh1 0.0000 0.0000 0.0000 x1
Rh2 0.3333 0.6667 0.5000 x2

Top 12 peaks for 2θ from 15° to 90°, in order of falling intensity:
2theta, d (Å), I (rel.)
34.6, 2.594, 100
31.7, 2.826, 94
36.4, 2.471, 53
66.1, 1.414, 33
42.4, 2.132, 31
57.1, 1.614, 29
42.3, 2.138, 28
41.4, 2.179, 26
60.8, 1.524, 18
55.0, 1.668, 18
81.1, 1.186, 13
72.5, 1.303, 12